1.
The following is a simulated powder XRD pattern of Zr2TiSnO8. It was derived from a cell relaxed with GGA-PBE, using Cu Kα.
Intensities are scaled so that the largest is 100.

Cell and atoms:
```
Zr2TiSnO8
1.0
4.875 0.000 0.000
0.000 5.778 0.000
-0.070 0.000 5.209
Zr Ti Sn O
2 1 1 8
Direct
0.000 0.000 0.000
0.500 0.136 0.500
0.000 0.645 0.500
0.500 0.507 0.000
0.219 0.929 0.669
0.228 0.719 0.188
0.255 0.449 0.664
0.283 0.226 0.167
0.717 0.226 0.833
0.745 0.449 0.336
0.772 0.719 0.812
0.781 0.929 0.331
```

The 10 most intense peaks (10 to 90 degrees two-theta), in order of falling intensity:
29.33°, rel. 100; 29.62°, rel. 97; 23.88°, rel. 50; 50.98°, rel. 43; 35.53°, rel. 26; 34.44°, rel. 25; 52.33°, rel. 20; 51.96°, rel. 19; 30.96°, rel. 19; 46.97°, rel. 17


2.
The following is a simulated powder XRD pattern of Na6Tl3Ag. It was derived from a cell relaxed with GGA-PBE, using Cu Kα.
Intensities are scaled so that the largest is 100.

Cell and atoms:
```
Na6Tl3Ag
1.0
9.383 0.000 0.000
0.000 6.412 0.000
-8.969 0.000 9.996
Na Tl Ag
12 6 2
Direct
0.103 0.094 0.432
0.103 0.406 0.932
0.261 0.574 0.437
0.261 0.926 0.937
0.382 0.744 0.238
0.382 0.756 0.738
0.618 0.244 0.262
0.618 0.256 0.762
0.739 0.074 0.063
0.739 0.426 0.563
0.897 0.594 0.068
0.897 0.906 0.568
0.235 0.245 0.237
0.235 0.255 0.737
0.500 0.000 0.500
0.500 0.500 0.000
0.765 0.745 0.263
0.765 0.755 0.763
0.000 0.000 0.000
0.000 0.500 0.500
```

The 10 most intense peaks (10 to 90 degrees two-theta), in order of falling intensity:
18.93°, rel. 100; 33.20°, rel. 76; 18.79°, rel. 63; 19.16°, rel. 60; 16.75°, rel. 52; 38.11°, rel. 39; 38.88°, rel. 36; 32.79°, rel. 27; 35.94°, rel. 26; 33.45°, rel. 26


3.
The following is a simulated powder XRD pattern of CaAc2TbTe5. It was derived from a cell relaxed with GGA-PBE, using Cu Kα.
Intensities are scaled so that the largest is 100.

Cell and atoms:
```
CaAc2TbTe5
1.0
5.575 0.000 0.000
0.000 5.575 0.000
0.000 0.000 11.701
Ca Ac Tb Te
1 2 1 5
Direct
0.000 0.000 0.000
0.500 0.500 0.300
0.500 0.500 0.700
0.000 0.000 0.500
0.000 0.000 0.245
0.000 0.000 0.755
0.000 0.500 0.500
0.500 0.000 0.500
0.500 0.500 0.000
```

The 10 most intense peaks (10 to 90 degrees two-theta), in order of falling intensity:
32.11°, rel. 100; 22.55°, rel. 89; 27.92°, rel. 68; 27.28°, rel. 53; 44.92°, rel. 45; 32.29°, rel. 43; 43.06°, rel. 43; 46.05°, rel. 37; 30.56°, rel. 33; 56.28°, rel. 23


4.
The following is a simulated powder XRD pattern of ThSc5Al3. It was derived from a cell relaxed with GGA-PBE, using Cu Kα.
Intensities are scaled so that the largest is 100.

Cell and atoms:
```
ThSc5Al3
1.0
8.630 0.000 0.000
-4.315 7.474 0.000
0.000 0.000 6.272
Th Sc Al
2 10 6
Direct
0.000 0.000 0.000
0.000 0.000 0.500
0.000 0.335 0.250
0.000 0.665 0.750
0.333 0.667 0.000
0.333 0.667 0.500
0.335 0.000 0.250
0.335 0.335 0.750
0.665 0.000 0.750
0.665 0.665 0.250
0.667 0.333 0.000
0.667 0.333 0.500
0.000 0.342 0.750
0.000 0.658 0.250
0.342 0.000 0.750
0.342 0.342 0.250
0.658 0.000 0.250
0.658 0.658 0.750
```

The 10 most intense peaks (10 to 90 degrees two-theta), in order of falling intensity:
11.84°, rel. 100; 35.39°, rel. 94; 36.05°, rel. 70; 20.58°, rel. 42; 64.40°, rel. 35; 51.41°, rel. 32; 30.93°, rel. 25; 23.81°, rel. 24; 31.68°, rel. 23; 43.10°, rel. 20


5.
The following is a simulated powder XRD pattern of Ho2Co2Ge3. It was derived from a cell relaxed with GGA-PBE, using Cu Kα.
Intensities are scaled so that the largest is 100.

Cell and atoms:
```
Ho2Co2Ge3
1.0
2.035 -8.782 0.000
2.035 8.782 0.000
0.000 0.000 6.795
Ho Co Ge
4 4 6
Direct
0.054 0.946 0.750
0.161 0.839 0.250
0.839 0.161 0.750
0.946 0.054 0.250
0.304 0.696 0.056
0.304 0.696 0.444
0.696 0.304 0.556
0.696 0.304 0.944
0.222 0.778 0.750
0.432 0.568 0.561
0.432 0.568 0.939
0.568 0.432 0.061
0.568 0.432 0.439
0.778 0.222 0.250
```

The 10 most intense peaks (10 to 90 degrees two-theta), in order of falling intensity:
36.28°, rel. 100; 34.77°, rel. 95; 44.52°, rel. 38; 45.04°, rel. 36; 59.16°, rel. 29; 65.19°, rel. 24; 33.33°, rel. 23; 41.11°, rel. 19; 29.79°, rel. 17; 24.13°, rel. 16


6.
The following is a simulated powder XRD pattern of Re5Ni. It was derived from a cell relaxed with GGA-PBE, using Cu Kα.
Intensities are scaled so that the largest is 100.

Cell and atoms:
```
Re5Ni
1.0
4.374 0.000 0.000
0.000 1.388 7.135
0.000 -1.388 7.135
Re Ni
5 1
Direct
0.000 0.000 0.000
0.000 0.327 0.327
0.500 0.218 0.218
0.500 0.557 0.557
0.500 0.888 0.888
0.000 0.668 0.668
```

The 10 most intense peaks (10 to 90 degrees two-theta), in order of falling intensity:
43.02°, rel. 100; 43.30°, rel. 51; 41.28°, rel. 38; 37.51°, rel. 27; 82.84°, rel. 20; 76.46°, rel. 19; 68.10°, rel. 17; 56.99°, rel. 16; 83.63°, rel. 16; 37.82°, rel. 11


7.
The following is a simulated powder XRD pattern of Te4Ir2Cl. It was derived from a cell relaxed with GGA-PBE, using Cu Kα.
Intensities are scaled so that the largest is 100.

Cell and atoms:
```
Te4Ir2Cl
1.0
5.313 -5.313 0.000
5.313 5.313 0.000
-5.257 0.000 6.741
Te Ir Cl
8 4 2
Direct
0.042 0.042 0.346
0.042 0.564 0.346
0.054 0.553 0.845
0.436 0.958 0.654
0.446 0.468 0.154
0.447 0.946 0.155
0.532 0.554 0.846
0.958 0.958 0.654
0.244 0.755 0.250
0.245 0.256 0.750
0.245 0.756 0.750
0.744 0.755 0.250
0.643 0.357 0.500
0.851 0.149 0.000
```

The 10 most intense peaks (10 to 90 degrees two-theta), in order of falling intensity:
13.49°, rel. 100; 33.74°, rel. 62; 48.46°, rel. 26; 27.39°, rel. 23; 26.44°, rel. 22; 27.32°, rel. 22; 35.30°, rel. 17; 35.44°, rel. 16; 43.19°, rel. 15; 43.37°, rel. 15


8.
The following is a simulated powder XRD pattern of AgBH2F8. It was derived from a cell relaxed with GGA-PBE, using Cu Kα.
Intensities are scaled so that the largest is 100.

Cell and atoms:
```
AgBH2F8
1.0
4.806 0.000 0.000
-0.540 4.936 0.000
-1.725 -0.531 6.561
Ag B H F
1 1 2 8
Direct
0.000 0.000 0.000
0.000 0.000 0.500
0.290 0.356 0.775
0.710 0.644 0.225
0.109 0.834 0.767
0.199 0.880 0.444
0.246 0.335 0.983
0.307 0.326 0.635
0.693 0.674 0.365
0.754 0.665 0.017
0.801 0.120 0.556
0.891 0.166 0.233
```

The 10 most intense peaks (10 to 90 degrees two-theta), in order of falling intensity:
19.24°, rel. 100; 18.03°, rel. 85; 24.74°, rel. 73; 13.50°, rel. 61; 26.36°, rel. 47; 27.18°, rel. 38; 43.85°, rel. 35; 31.53°, rel. 32; 30.00°, rel. 31; 28.13°, rel. 28